Entry 1:
For Cs3B6H12S4Br, a crystal structure in the Materials Project, relaxed with PBE gives the theoretical powder diffractogram in this record (Cu Kα).

The 8 most intense peaks (2θ from 10° to 80°), sorted by position:
- (2 0 1), 21.9 deg, rel. 100
- (1 1 2), 26.3 deg, rel. 37
- (2 1 1), 27.8 deg, rel. 27
- (2 0 2), 28.1 deg, rel. 44
- (2 2 0), 34.0 deg, rel. 36
- (2 0 3), 36.3 deg, rel. 29
- (0 0 4), 40.8 deg, rel. 26
- (2 2 4), 54.2 deg, rel. 45

a = 10.5409 Å, b = 10.5409 Å, c = 8.8291 Å
α = 90.00°, β = 90.00°, γ = 120.00°
Space group P6_3mc (No. 186)
One atom of each set of equivalent atoms:
Cs  0.1583  0.3167  0.0000 x6
B  0.1394  0.5697  0.6627 x6
B  0.2351  0.4702  0.3719 x6
H  0.0115  0.5057  0.6228 x6
H  0.1091  0.4108  0.3281 x12
H  0.1516  0.5758  0.8001 x6
S  0.2313  0.4626  0.5905 x6
S  0.3333  0.6667  0.2904 x2
Br  0.0000  0.0000  0.2526 x2



Entry 2:
For Ho5NiSb2, a crystal structure in the Materials Project, relaxed with PBE gives the theoretical powder diffractogram in this record (Cu Kα).

The 8 most intense peaks (2θ from 10° to 80°), sorted by position:
- (2 2 1), 27.5 deg, rel. 25
- (1 2 2), 31.3 deg, rel. 100
- (4 0 1), 31.9 deg, rel. 96
- (3 2 1), 32.3 deg, rel. 83
- (2 2 2), 34.0 deg, rel. 57
- (1 0 3), 35.0 deg, rel. 32
- (0 4 0), 41.0 deg, rel. 36
- (4 4 1), 52.8 deg, rel. 25

a = 12.023 Å, b = 8.815 Å, c = 7.882 Å
α = 90.00°, β = 90.00°, γ = 90.00°
Space group Pnma (No. 62)
One atom of each set of equivalent atoms:
Ho  0.001  0.250  0.045 x4
Ho  0.065  0.543  0.320 x8
Ho  0.199  0.250  0.627 x4
Ho  0.207  0.750  0.659 x4
Ni  0.016  0.250  0.417 x4
Sb  0.173  0.009  0.929 x8



Entry 3:
For CsBi, a crystal structure in the Materials Project, relaxed with PBE gives the theoretical powder diffractogram in this record (Cu Kα).

The 8 most intense peaks (2θ from 10° to 80°), sorted by position:
- (2 0 0), 12.3 deg, rel. 80
- (0 0 2), 13.1 deg, rel. 48
- (2 0 -4), 24.3 deg, rel. 53
- (4 0 0), 24.7 deg, rel. 85
- (2 2 -1), 25.3 deg, rel. 68
- (4 1 -1), 25.6 deg, rel. 84
- (2 1 -4), 26.8 deg, rel. 100
- (2 2 1), 27.8 deg, rel. 74

a = 15.657 Å, b = 7.892 Å, c = 14.708 Å
α = 90.00°, β = 113.18°, γ = 90.00°
Space group P2_1/c (No. 14)
One atom of each set of equivalent atoms:
Cs  0.105  0.199  0.467 x4
Cs  0.159  0.575  0.688 x4
Cs  0.347  0.635  0.053 x4
Cs  0.378  0.127  0.864 x4
Bi  0.069  0.702  0.373 x4
Bi  0.096  0.061  0.731 x4
Bi  0.401  0.113  0.149 x4
Bi  0.436  0.647  0.816 x4



Entry 4:
For NaAlSiO4, a crystal structure in the Materials Project, relaxed with PBE gives the theoretical powder diffractogram in this record (Cu Kα).

The 8 most intense peaks (2θ from 10° to 80°), sorted by position:
- (0 0 2), 20.2 deg, rel. 64
- (0 4 0), 35.1 deg, rel. 71
- (0 2 3), 35.4 deg, rel. 100
- (1 0 2), 38.4 deg, rel. 65
- (1 3 0), 42.1 deg, rel. 49
- (1 3 1), 43.4 deg, rel. 90
- (1 1 3), 46.0 deg, rel. 66
- (1 4 2), 53.1 deg, rel. 57

a = 2.766 Å, b = 10.222 Å, c = 8.775 Å
α = 90.00°, β = 90.00°, γ = 90.00°
Space group Pmc2_1 (No. 26)
One atom of each set of equivalent atoms:
Na  0.000  0.088  0.000 x2
Na  0.500  0.404  0.518 x2
Al  0.500  0.147  0.683 x2
Al  0.500  0.361  0.195 x2
Si  0.000  0.139  0.314 x2
Si  0.000  0.350  0.848 x2
O  0.000  0.031  0.741 x2
O  0.000  0.270  0.660 x2
O  0.000  0.314  0.332 x2
O  0.000  0.399  0.051 x2
O  0.500  0.107  0.452 x2
O  0.500  0.170  0.185 x2
O  0.500  0.239  0.884 x2
O  0.500  0.459  0.794 x2



Entry 5:
For BiF3, a crystal structure in the Materials Project, relaxed with PBE gives the theoretical powder diffractogram in this record (Cu Kα).

The 8 most intense peaks (2θ from 10° to 80°), sorted by position:
- (1 0 1), 22.3 deg, rel. 58
- (0 2 0), 25.1 deg, rel. 47
- (1 1 1), 25.7 deg, rel. 100
- (2 1 0), 30.1 deg, rel. 51
- (1 2 1), 33.8 deg, rel. 29
- (0 2 2), 44.2 deg, rel. 22
- (1 3 1), 44.5 deg, rel. 32
- (2 3 0), 47.4 deg, rel. 58

a = 6.547 Å, b = 7.104 Å, c = 5.010 Å
α = 90.00°, β = 90.00°, γ = 90.00°
Space group Pnma (No. 62)
One atom of each set of equivalent atoms:
Bi  0.135  0.250  0.030 x4
F  0.041  0.750  0.363 x4
F  0.161  0.560  0.852 x8



Entry 6:
For CaYAl3O7, a crystal structure in the Materials Project, relaxed with PBE gives the theoretical powder diffractogram in this record (Cu Kα).

The 8 most intense peaks (2θ from 10° to 80°), sorted by position:
- (0 2 0), 16.1 deg, rel. 17
- (0 2 1), 23.8 deg, rel. 26
- (2 2 1), 28.9 deg, rel. 22
- (3 1 1), 31.2 deg, rel. 100
- (2 4 0), 36.6 deg, rel. 17
- (3 1 2), 44.1 deg, rel. 17
- (4 2 2), 51.7 deg, rel. 34
- (3 1 3), 60.7 deg, rel. 14

a = 10.957 Å, b = 10.989 Å, c = 5.098 Å
α = 90.00°, β = 90.00°, γ = 90.00°
Space group Cmm2 (No. 35)
One atom of each set of equivalent atoms:
Ca  0.000  0.161  0.000 x4
Y  0.162  0.500  0.030 x4
Al  0.000  0.357  0.559 x4
Al  0.146  0.000  0.471 x4
Al  0.250  0.250  0.515 x4
O  0.000  0.000  0.332 x2
O  0.000  0.369  0.217 x4
O  0.000  0.500  0.721 x2
O  0.125  0.288  0.716 x8
O  0.153  0.000  0.813 x4
O  0.221  0.123  0.311 x8